No. 1
Dy4In2N: simulated powder X-ray diffraction pattern (Cu Ka), based on a structure optimized by DFT (GGA-PBE).

Top 8 peaks for 2θ from 10° to 80°, by intensity:
- (1 1 4), 35.0 deg, I = 100
- (1 1 2), 28.9 deg, I = 75
- (2 0 0), 37.9 deg, I = 61
- (2 0 6), 51.8 deg, I = 41
- (0 0 6), 34.0 deg, I = 39
- (3 1 4), 66.5 deg, I = 31
- (2 2 0), 54.6 deg, I = 21
- (2 2 6), 65.9 deg, I = 18

abc: 4.754 4.754 15.824
angles: 90.00 90.00 90.00
Space group I4/mmm (No. 139)
Unique sites:
1 Dy 0.000 0.000 0.162 x4
2 Dy 0.000 0.500 0.000 x4
3 In 0.000 0.000 0.363 x4
4 N 0.000 0.000 0.000 x2


No. 2
NaDyInPb: simulated powder X-ray diffraction pattern (Cu Ka), based on a structure optimized by DFT (GGA-PBE).

Top 8 peaks for 2θ from 10° to 80°, by intensity:
- (1 1 1), 32.8 deg, I = 100
- (0 0 1), 17.6 deg, I = 21
- (0 0 2), 35.6 deg, I = 20
- (0 2 0), 36.7 deg, I = 19
- (1 1 3), 62.2 deg, I = 16
- (1 1 0), 27.5 deg, I = 15
- (1 3 1), 63.6 deg, I = 15
- (0 2 2), 52.1 deg, I = 14

abc: 4.336 4.897 5.046
angles: 90.00 90.00 90.00
Space group Pmmm (No. 47)
Unique sites:
1 Na 0.000 0.000 0.000 x1
2 Dy 0.000 0.500 0.500 x1
3 In 0.500 0.500 0.000 x1
4 Pb 0.500 0.000 0.500 x1


No. 3
Nd3Dy8In: simulated powder X-ray diffraction pattern (Cu Ka), based on a structure optimized by DFT (GGA-PBE).

Top 8 peaks for 2θ from 10° to 80°, by intensity:
- (3 1 2), 36.4 deg, I = 100
- (2 2 0), 29.1 deg, I = 83
- (2 1 1), 24.3 deg, I = 77
- (0 0 4), 31.8 deg, I = 76
- (4 0 2), 44.8 deg, I = 71
- (2 0 2), 25.9 deg, I = 67
- (2 2 2), 33.2 deg, I = 65
- (2 2 4), 43.6 deg, I = 53

abc: 8.675 8.675 11.273
angles: 90.00 90.00 90.00
Space group I-42m (No. 121)
Unique sites:
1 Nd 0.000 0.000 0.000 x2
2 Nd 0.000 0.500 0.250 x4
3 Dy 0.126 0.126 0.751 x8
4 Dy 0.249 0.249 0.011 x8
5 In 0.000 0.000 0.500 x2


No. 4
Nd8Dy3In: simulated powder X-ray diffraction pattern (Cu Ka), based on a structure optimized by DFT (GGA-PBE).

Top 8 peaks for 2θ from 10° to 80°, by intensity:
- (3 1 2), 36.0 deg, I = 100
- (2 2 0), 28.9 deg, I = 75
- (0 0 4), 30.8 deg, I = 67
- (2 1 1), 24.0 deg, I = 59
- (2 0 2), 25.5 deg, I = 52
- (2 2 4), 42.8 deg, I = 47
- (4 0 2), 44.3 deg, I = 41
- (2 1 3), 32.6 deg, I = 29

abc: 8.733 8.733 11.601
angles: 90.00 90.00 90.00
Space group I-42m (No. 121)
Unique sites:
1 Nd 0.128 0.128 0.252 x8
2 Nd 0.246 0.246 0.518 x8
3 Dy 0.000 0.000 0.500 x2
4 Dy 0.000 0.500 0.250 x4
5 In 0.000 0.000 0.000 x2


No. 5
Nd6DyIn6: simulated powder X-ray diffraction pattern (Cu Ka), based on a structure optimized by DFT (GGA-PBE).

Top 8 peaks for 2θ from 10° to 80°, by intensity:
- (0 0 4), 32.3 deg, I = 100
- (2 0 2), 36.2 deg, I = 66
- (1 1 0), 27.9 deg, I = 34
- (1 1 6), 57.5 deg, I = 23
- (1 0 3), 29.0 deg, I = 21
- (2 2 0), 57.7 deg, I = 21
- (2 2 4), 67.6 deg, I = 18
- (3 0 2), 52.2 deg, I = 13

abc: 6.3946 6.3946 11.1031
angles: 90.00 90.00 120.00
Space group P6/mmm (No. 191)
Unique sites:
1 Nd 0.0000 0.0000 0.1684 x2
2 Nd 0.3333 0.6667 0.0000 x2
3 Nd 0.3333 0.6667 0.5000 x2
4 Dy 0.0000 0.0000 0.5000 x1
5 In 0.0000 0.5000 0.2536 x6


No. 6
Nd6Dy5In: simulated powder X-ray diffraction pattern (Cu Ka), based on a structure optimized by DFT (GGA-PBE).

Top 8 peaks for 2θ from 10° to 80°, by intensity:
- (1 2 3), 30.6 deg, I = 100
- (0 0 6), 35.1 deg, I = 17
- (2 0 0), 35.6 deg, I = 17
- (0 4 0), 35.8 deg, I = 16
- (1 2 9), 60.2 deg, I = 14
- (3 2 3), 60.8 deg, I = 14
- (1 6 3), 61.1 deg, I = 14
- (2 4 6), 63.7 deg, I = 12

abc: 5.048 10.035 15.327
angles: 90.00 90.00 90.00
Space group Immm (No. 71)
Unique sites:
1 Nd 0.000 0.245 0.000 x4
2 Nd 0.000 0.255 0.335 x8
3 Dy 0.000 0.000 0.167 x4
4 Dy 0.000 0.000 0.500 x2
5 Dy 0.000 0.500 0.164 x4
6 In 0.000 0.500 0.500 x2